Entry 1:
Computed X-ray powder pattern
Compound: Ga7Pd2Rh2
Radiation: Cu Kα (λ = 1.5418 Å)
Structure: the PBE geometry in Alexandria
Lines closer than 0.1° are merged.

Top 12 peaks for 15 to 90 degrees two-theta, by intensity:
2θ 28.97, rel. 100
2θ 40.75, rel. 62
2θ 42.87, rel. 62
2θ 45.25, rel. 59
2θ 25.81, rel. 30
2θ 34.26, rel. 29
2θ 42.76, rel. 25
2θ 49.70, rel. 24
2θ 51.16, rel. 22
2θ 23.84, rel. 21
2θ 79.06, rel. 17
2θ 67.38, rel. 17

Structural model:
```
Ga7Pd2Rh2
1.0
4.443 -3.571 0.000
4.443 3.571 0.000
-0.501 0.000 6.102
Ga Pd Rh
7 2 2
direct
0.000 0.000 0.000 Ga
0.007 0.478 0.284 Ga
0.478 0.007 0.284 Ga
0.495 0.495 0.739 Ga
0.505 0.505 0.261 Ga
0.522 0.993 0.716 Ga
0.993 0.522 0.716 Ga
0.196 0.804 0.500 Pd
0.804 0.196 0.500 Pd
0.275 0.275 0.986 Rh
0.725 0.725 0.014 Rh
```

Entry 2:
Computed X-ray powder pattern
Compound: Ga4PdRh3
Radiation: Cu Kα (λ = 1.5418 Å)
Structure: the PBE geometry in Alexandria
Lines closer than 0.1° are merged.

Top 12 peaks for 15 to 90 degrees two-theta, by intensity:
2θ 42.04, rel. 100
2θ 41.35, rel. 52
2θ 75.88, rel. 33
2θ 59.92, rel. 17
2θ 77.28, rel. 16
2θ 62.00, rel. 8
2θ 28.92, rel. 5
2θ 89.94, rel. 3
2θ 89.77, rel. 3
2θ 29.84, rel. 2
2θ 51.83, rel. 2
2θ 67.88, rel. 1

Structural model:
```
Ga4PdRh3
1.0
2.994 0.000 0.000
0.000 4.363 0.000
0.000 0.000 8.740
Ga Pd Rh
4 1 3
direct
0.000 0.000 0.000 Ga
0.000 0.000 0.500 Ga
0.000 0.500 0.245 Ga
0.000 0.500 0.755 Ga
0.500 0.500 0.500 Pd
0.500 0.000 0.250 Rh
0.500 0.000 0.750 Rh
0.500 0.500 0.000 Rh
```

Entry 3:
Computed X-ray powder pattern
Compound: Sr2Ga5PdRh2
Radiation: Cu Kα (λ = 1.5418 Å)
Structure: the PBE geometry in Alexandria
Lines closer than 0.1° are merged.

Top 12 peaks for 15 to 90 degrees two-theta, by intensity:
2θ 37.03, rel. 100
2θ 40.05, rel. 47
2θ 35.50, rel. 40
2θ 34.90, rel. 26
2θ 50.91, rel. 19
2θ 36.57, rel. 16
2θ 63.60, rel. 14
2θ 59.80, rel. 14
2θ 42.89, rel. 10
2θ 44.30, rel. 9
2θ 49.45, rel. 9
2θ 17.01, rel. 9

Structural model:
```
Sr2Ga5PdRh2
1.0
10.426 0.000 0.000
0.000 10.426 0.000
0.000 0.000 3.587
Sr Ga Pd Rh
4 10 2 4
direct
0.185 0.315 0.000 Sr
0.315 0.815 0.000 Sr
0.685 0.185 0.000 Sr
0.815 0.685 0.000 Sr
0.000 0.500 0.500 Ga
0.051 0.810 0.500 Ga
0.190 0.051 0.500 Ga
0.310 0.551 0.500 Ga
0.449 0.310 0.500 Ga
0.500 0.000 0.500 Ga
0.551 0.690 0.500 Ga
0.690 0.449 0.500 Ga
0.810 0.949 0.500 Ga
0.949 0.190 0.500 Ga
0.000 0.000 0.000 Pd
0.500 0.500 0.000 Pd
0.116 0.616 0.000 Rh
0.384 0.116 0.000 Rh
0.616 0.884 0.000 Rh
0.884 0.384 0.000 Rh
```

Entry 4:
Computed X-ray powder pattern
Compound: TaGaPdRh
Radiation: Cu Kα (λ = 1.5418 Å)
Structure: the PBE geometry in Alexandria
Lines closer than 0.1° are merged.

Top 9 peaks for 15 to 90 degrees two-theta, by intensity:
2θ 40.52, rel. 100
2θ 73.72, rel. 34
2θ 58.65, rel. 17
2θ 24.49, rel. 12
2θ 87.68, rel. 11
2θ 47.92, rel. 6
2θ 64.51, rel. 3
2θ 79.02, rel. 2
2θ 28.35, rel. 1

Structural model:
```
TaGaPdRh
1.0
6.296 0.000 0.000
0.000 6.296 0.000
0.000 0.000 6.296
Ta Ga Pd Rh
4 4 4 4
direct
0.000 0.000 0.000 Ta
0.000 0.500 0.500 Ta
0.500 0.000 0.500 Ta
0.500 0.500 0.000 Ta
0.000 0.000 0.500 Ga
0.000 0.500 0.000 Ga
0.500 0.000 0.000 Ga
0.500 0.500 0.500 Ga
0.250 0.250 0.250 Pd
0.250 0.750 0.750 Pd
0.750 0.250 0.750 Pd
0.750 0.750 0.250 Pd
0.250 0.250 0.750 Rh
0.250 0.750 0.250 Rh
0.750 0.250 0.250 Rh
0.750 0.750 0.750 Rh
```

Entry 5:
Computed X-ray powder pattern
Compound: Th2Ga4Pd3Rh
Radiation: Cu Kα (λ = 1.5418 Å)
Structure: the PBE geometry in Alexandria
Lines closer than 0.1° are merged.

Top 12 peaks for 15 to 90 degrees two-theta, by intensity:
2θ 34.28, rel. 100
2θ 33.10, rel. 68
2θ 42.36, rel. 54
2θ 54.79, rel. 33
2θ 48.30, rel. 31
2θ 72.28, rel. 26
2θ 66.16, rel. 24
2θ 29.60, rel. 21
2θ 61.45, rel. 18
2θ 61.23, rel. 13
2θ 87.20, rel. 13
2θ 22.49, rel. 12

Structural model:
```
Th2Ga4Pd3Rh
1.0
4.268 0.000 0.000
0.000 4.268 0.000
0.000 0.000 10.500
Th Ga Pd Rh
2 4 3 1
direct
0.000 0.500 0.250 Th
0.500 0.000 0.750 Th
0.000 0.000 0.000 Ga
0.000 0.500 0.629 Ga
0.500 0.000 0.371 Ga
0.500 0.500 0.000 Ga
0.000 0.500 0.865 Pd
0.500 0.000 0.135 Pd
0.500 0.500 0.500 Pd
0.000 0.000 0.500 Rh
```

Entry 6:
Computed X-ray powder pattern
Compound: TbGa4PdRu2
Radiation: Cu Kα (λ = 1.5418 Å)
Structure: the PBE geometry in Alexandria
Lines closer than 0.1° are merged.

Top 12 peaks for 15 to 90 degrees two-theta, by intensity:
2θ 42.29, rel. 100
2θ 37.24, rel. 93
2θ 57.60, rel. 26
2θ 74.00, rel. 24
2θ 29.83, rel. 18
2θ 27.88, rel. 18
2θ 46.24, rel. 17
2θ 77.33, rel. 16
2θ 43.10, rel. 12
2θ 25.05, rel. 6
2θ 80.14, rel. 6
2θ 64.44, rel. 6

Structural model:
```
TbGa4PdRu2
1.0
2.137 1.234 8.493
-2.137 1.234 8.493
0.000 -2.468 8.493
Tb Ga Pd Ru
1 4 1 2
direct
0.000 0.000 0.000 Tb
0.129 0.129 0.129 Ga
0.398 0.398 0.398 Ga
0.602 0.602 0.602 Ga
0.871 0.871 0.871 Ga
0.500 0.500 0.500 Pd
0.234 0.234 0.234 Ru
0.766 0.766 0.766 Ru
```

Entry 7:
Computed X-ray powder pattern
Compound: YGa4Pd2Ru
Radiation: Cu Kα (λ = 1.5418 Å)
Structure: the PBE geometry in Alexandria
Lines closer than 0.1° are merged.

Top 12 peaks for 15 to 90 degrees two-theta, by intensity:
2θ 42.42, rel. 100
2θ 36.75, rel. 93
2θ 45.41, rel. 30
2θ 57.35, rel. 25
2θ 73.88, rel. 23
2θ 77.60, rel. 19
2θ 27.76, rel. 12
2θ 79.72, rel. 11
2θ 29.63, rel. 11
2θ 63.88, rel. 10
2θ 73.50, rel. 9
2θ 60.83, rel. 8

Structural model:
```
YGa4Pd2Ru
1.0
2.131 1.230 8.709
-2.131 1.230 8.709
0.000 -2.460 8.709
Y Ga Pd Ru
1 4 2 1
direct
0.000 0.000 0.000 Y
0.133 0.133 0.133 Ga
0.399 0.399 0.399 Ga
0.601 0.601 0.601 Ga
0.867 0.867 0.867 Ga
0.238 0.238 0.238 Pd
0.762 0.762 0.762 Pd
0.500 0.500 0.500 Ru
```

Entry 8:
Computed X-ray powder pattern
Compound: ZnGaPdRu
Radiation: Cu Kα (λ = 1.5418 Å)
Structure: the PBE geometry in Alexandria
Lines closer than 0.1° are merged.

Top 12 peaks for 15 to 90 degrees two-theta, by intensity:
2θ 41.62, rel. 100
2θ 41.97, rel. 24
2θ 43.23, rel. 22
2θ 76.43, rel. 16
2θ 61.83, rel. 15
2θ 78.18, rel. 15
2θ 58.79, rel. 9
2θ 74.83, rel. 8
2θ 75.71, rel. 8
2θ 29.77, rel. 4
2θ 28.41, rel. 3
2θ 51.46, rel. 1

Structural model:
```
ZnGaPdRu
1.0
3.141 0.000 0.000
0.000 4.186 0.000
0.000 0.000 4.305
Zn Ga Pd Ru
1 1 1 1
direct
0.000 0.000 0.000 Zn
0.000 0.500 0.500 Ga
0.500 0.500 0.000 Pd
0.500 0.000 0.500 Ru
```

Entry 9:
Computed X-ray powder pattern
Compound: GaPd4S
Radiation: Cu Kα (λ = 1.5418 Å)
Structure: the PBE geometry in Alexandria
Lines closer than 0.1° are merged.

Top 12 peaks for 15 to 90 degrees two-theta, by intensity:
2θ 43.83, rel. 100
2θ 30.62, rel. 60
2θ 43.96, rel. 20
2θ 80.48, rel. 18
2θ 26.44, rel. 13
2θ 63.72, rel. 12
2θ 80.74, rel. 12
2θ 72.30, rel. 9
2θ 54.35, rel. 8
2θ 54.51, rel. 7
2θ 63.80, rel. 6
2θ 72.38, rel. 6

Structural model:
```
GaPd4S
1.0
4.119 -5.845 0.000
4.119 5.845 0.000
-4.116 0.000 4.136
Ga Pd S
2 8 2
direct
0.125 0.875 0.750 Ga
0.875 0.125 0.250 Ga
0.019 0.506 0.259 Pd
0.246 0.260 0.765 Pd
0.260 0.246 0.265 Pd
0.494 0.981 0.241 Pd
0.506 0.019 0.759 Pd
0.740 0.754 0.735 Pd
0.754 0.740 0.235 Pd
0.981 0.494 0.741 Pd
0.376 0.624 0.250 S
0.624 0.376 0.750 S
```

Entry 10:
Computed X-ray powder pattern
Compound: GaPd5S
Radiation: Cu Kα (λ = 1.5418 Å)
Structure: the PBE geometry in Alexandria
Lines closer than 0.1° are merged.

Top 12 peaks for 15 to 90 degrees two-theta, by intensity:
2θ 37.11, rel. 100
2θ 36.93, rel. 87
2θ 39.96, rel. 71
2θ 26.01, rel. 58
2θ 34.36, rel. 56
2θ 49.02, rel. 56
2θ 47.45, rel. 45
2θ 40.40, rel. 44
2θ 43.72, rel. 38
2θ 32.20, rel. 35
2θ 26.54, rel. 34
2θ 51.31, rel. 29

Structural model:
```
GaPd5S
1.0
4.846 -4.172 0.000
4.846 4.172 0.000
-4.709 0.000 6.003
Ga Pd S
2 10 2
direct
0.227 0.773 0.750 Ga
0.773 0.227 0.250 Ga
0.016 0.410 0.660 Pd
0.074 0.926 0.250 Pd
0.360 0.365 0.522 Pd
0.365 0.360 0.022 Pd
0.410 0.016 0.160 Pd
0.590 0.984 0.840 Pd
0.635 0.640 0.978 Pd
0.640 0.635 0.478 Pd
0.926 0.074 0.750 Pd
0.984 0.590 0.340 Pd
0.000 0.500 0.000 S
0.500 0.000 0.500 S
```

Entry 11:
Computed X-ray powder pattern
Compound: GaSb3Pd8
Radiation: Cu Kα (λ = 1.5418 Å)
Structure: the PBE geometry in Alexandria
Lines closer than 0.1° are merged.

Top 12 peaks for 15 to 90 degrees two-theta, by intensity:
2θ 40.47, rel. 100
2θ 41.70, rel. 89
2θ 42.15, rel. 45
2θ 46.14, rel. 31
2θ 26.23, rel. 31
2θ 64.26, rel. 21
2θ 36.36, rel. 19
2θ 54.51, rel. 18
2θ 34.02, rel. 18
2θ 25.09, rel. 15
2θ 16.47, rel. 13
2θ 74.14, rel. 13

Structural model:
```
GaSb3Pd8
1.0
4.292 -3.934 0.000
4.292 3.934 0.000
-4.003 0.000 6.733
Ga Sb Pd
1 3 8
direct
0.000 0.000 0.000 Ga
0.283 0.779 0.524 Sb
0.523 0.523 0.066 Sb
0.779 0.283 0.524 Sb
0.152 0.152 0.796 Pd
0.160 0.642 0.785 Pd
0.378 0.978 0.277 Pd
0.642 0.160 0.785 Pd
0.659 0.659 0.813 Pd
0.732 0.732 0.493 Pd
0.889 0.889 0.252 Pd
0.978 0.378 0.277 Pd
```

Entry 12:
Computed X-ray powder pattern
Compound: GaSb3Pd12
Radiation: Cu Kα (λ = 1.5418 Å)
Structure: the PBE geometry in Alexandria
Lines closer than 0.1° are merged.

Top 12 peaks for 15 to 90 degrees two-theta, by intensity:
2θ 38.79, rel. 100
2θ 44.92, rel. 33
2θ 78.72, rel. 24
2θ 65.83, rel. 20
2θ 45.46, rel. 15
2θ 79.50, rel. 11
2θ 65.40, rel. 11
2θ 83.25, rel. 10
2θ 35.70, rel. 1
2θ 73.17, rel. 1
2θ 61.35, rel. 1
2θ 27.74, rel. 1

Structural model:
```
GaSb3Pd12
1.0
4.036 0.000 0.000
0.000 4.036 0.000
0.000 0.000 15.961
Ga Sb Pd
1 3 12
direct
0.000 0.000 0.000 Ga
0.000 0.000 0.242 Sb
0.000 0.000 0.500 Sb
0.000 0.000 0.758 Sb
0.000 0.500 0.119 Pd
0.000 0.500 0.373 Pd
0.000 0.500 0.627 Pd
0.000 0.500 0.881 Pd
0.500 0.000 0.119 Pd
0.500 0.000 0.373 Pd
0.500 0.000 0.627 Pd
0.500 0.000 0.881 Pd
0.500 0.500 0.000 Pd
0.500 0.500 0.248 Pd
0.500 0.500 0.500 Pd
0.500 0.500 0.752 Pd
```

Entry 13:
Computed X-ray powder pattern
Compound: GaSbPd4
Radiation: Cu Kα (λ = 1.5418 Å)
Structure: the PBE geometry in Alexandria
Lines closer than 0.1° are merged.

Top 12 peaks for 15 to 90 degrees two-theta, by intensity:
2θ 35.87, rel. 100
2θ 39.80, rel. 79
2θ 50.27, rel. 28
2θ 45.49, rel. 23
2θ 37.47, rel. 22
2θ 39.59, rel. 17
2θ 45.35, rel. 16
2θ 70.11, rel. 12
2θ 46.06, rel. 12
2θ 75.64, rel. 11
2θ 41.62, rel. 10
2θ 74.51, rel. 10

Structural model:
```
GaSbPd4
1.0
6.900 0.000 0.000
0.000 3.630 0.000
0.000 0.000 16.000
Ga Sb Pd
4 4 16
direct
0.229 0.250 0.195 Ga
0.271 0.750 0.695 Ga
0.729 0.250 0.305 Ga
0.771 0.750 0.805 Ga
0.225 0.750 0.445 Sb
0.275 0.250 0.945 Sb
0.725 0.750 0.055 Sb
0.775 0.250 0.555 Sb
0.005 0.250 0.071 Pd
0.076 0.250 0.786 Pd
0.091 0.250 0.337 Pd
0.168 0.250 0.579 Pd
0.332 0.750 0.079 Pd
0.409 0.750 0.837 Pd
0.424 0.750 0.286 Pd
0.495 0.750 0.571 Pd
0.505 0.250 0.429 Pd
0.576 0.250 0.714 Pd
0.591 0.250 0.163 Pd
0.668 0.250 0.921 Pd
0.832 0.750 0.421 Pd
0.909 0.750 0.663 Pd
0.924 0.750 0.214 Pd
0.995 0.750 0.929 Pd
```